# Tm3InO6
Simulated XRD peak list, copper Kα. Input: a cell relaxed with GGA-PBE.
Kinematic intensities with the Lorentz-polarization factor, no thermal factor.

Main lines, in order of rising 2θ (2θ = 10–90°):
| h k l | 2theta | d_spacing | I (rel.) |
| --- | --- | --- | --- |
| 0 0 3 | 24.20 | 3.678 | 38 |
| 2 1 1 | 30.01 | 2.978 | 100 |
| 1 1 3 | 30.81 | 2.902 | 42 |
| 3 -2 2 | 33.21 | 2.698 | 68 |
| 2 1 4 | 43.99 | 2.059 | 28 |
| 1 4 0 | 51.16 | 1.785 | 30 |

Crystal structure
```
data_Tm3InO6
_space_group_name_H-M_alt 'R -3'
_space_group_IT_number 148
_space_group_name_Hall '-R 3'
_cell_length_a 9.4474
_cell_length_b 9.4474
_cell_length_c 11.0347
_cell_angle_alpha 90.00
_cell_angle_beta 90.00
_cell_angle_gamma 120.00
loop_
_atom_site_label
_atom_site_fract_x
_atom_site_fract_y
_atom_site_fract_z
Tm1 0.0407 0.2661 0.2072
In1 0.0000 0.0000 0.0000
In2 0.0000 0.0000 0.5000
O1 0.0257 0.2170 0.4022
O2 0.0283 0.1878 0.8717
```

=====

# K11InO2
Simulated XRD peak list, copper Kα. Input: a cell relaxed with GGA-PBE.
Kinematic intensities with the Lorentz-polarization factor, no thermal factor.

Main lines, in order of rising 2θ (2θ = 10–90°):
| h k l | 2theta | d_spacing | I (rel.) |
| --- | --- | --- | --- |
| 1 1 2 | 15.03 | 5.895 | 78 |
| 2 0 2 | 17.58 | 5.045 | 47 |
| 1 3 2 | 23.68 | 3.757 | 29 |
| 4 1 1 | 27.34 | 3.262 | 40 |
| 4 2 0 | 28.96 | 3.083 | 30 |
| 2 2 4 | 30.32 | 2.947 | 100 |

Crystal structure
```
data_K11InO2
_space_group_name_H-M_alt 'I b a m'
_space_group_IT_number 72
_space_group_name_Hall '-I 2 2c'
_cell_length_a 13.771
_cell_length_b 13.809
_cell_length_c 14.801
_cell_angle_alpha 90.00
_cell_angle_beta 90.00
_cell_angle_gamma 90.00
loop_
_atom_site_label
_atom_site_fract_x
_atom_site_fract_y
_atom_site_fract_z
K1 0.000 0.000 0.000
K2 0.068 0.253 0.129
K3 0.209 0.223 0.500
K4 0.246 0.443 0.373
In1 0.000 0.500 0.250
O1 0.156 0.151 0.000
```

=====

# Mg6AlSnO8
Simulated XRD peak list, copper Kα. Input: a cell relaxed with GGA-PBE.
Kinematic intensities with the Lorentz-polarization factor, no thermal factor.

Main lines, in order of rising 2θ (2θ = 10–90°):
| h k l | 2theta | d_spacing | I (rel.) |
| --- | --- | --- | --- |
| 0 0 2 | 19.90 | 4.463 | 30 |
| 1 0 1 | 22.27 | 3.993 | 27 |
| 1 1 0 | 28.28 | 3.156 | 26 |
| 1 1 2 | 34.82 | 2.577 | 32 |
| 2 0 0 | 40.42 | 2.231 | 100 |
| 2 2 0 | 58.50 | 1.578 | 59 |

Crystal structure
```
data_Mg6AlSnO8
_space_group_name_H-M_alt 'P 4/m m m'
_space_group_IT_number 123
_space_group_name_Hall '-P 4 2'
_cell_length_a 4.465
_cell_length_b 4.465
_cell_length_c 8.915
_cell_angle_alpha 90.00
_cell_angle_beta 90.00
_cell_angle_gamma 90.00
loop_
_atom_site_label
_atom_site_fract_x
_atom_site_fract_y
_atom_site_fract_z
Mg1 0.000 0.000 0.000
Mg2 0.000 0.500 0.235
Mg3 0.500 0.500 0.000
Al1 0.000 0.000 0.500
Sn1 0.500 0.500 0.500
O1 0.000 0.000 0.242
O2 0.000 0.500 0.000
O3 0.000 0.500 0.500
O4 0.500 0.500 0.226
```

=====

# Rb2Ba2Na
Simulated XRD peak list, copper Kα. Input: a cell relaxed with GGA-PBE.
Kinematic intensities with the Lorentz-polarization factor, no thermal factor.

Main lines, in order of rising 2θ (2θ = 10–90°):
| h k l | 2theta | d_spacing | I (rel.) |
| --- | --- | --- | --- |
| 2 0 0 | 18.42 | 4.816 | 10 |
| 0 0 2 | 23.89 | 3.725 | 100 |
| 3 1 0 | 29.32 | 3.046 | 13 |
| 3 1 2 | 38.20 | 2.356 | 13 |
| 4 1 1 | 40.47 | 2.229 | 15 |
| 2 1 3 | 42.07 | 2.148 | 17 |

Crystal structure
```
data_Rb2Ba2Na
_space_group_name_H-M_alt 'P 4/m b m'
_space_group_IT_number 127
_space_group_name_Hall '-P 4 2ab'
_cell_length_a 9.633
_cell_length_b 9.633
_cell_length_c 7.432
_cell_angle_alpha 90.00
_cell_angle_beta 90.00
_cell_angle_gamma 90.00
loop_
_atom_site_label
_atom_site_fract_x
_atom_site_fract_y
_atom_site_fract_z
Rb1 0.143 0.357 0.000
Ba1 0.176 0.676 0.500
Na1 0.000 0.000 0.000
```

=====

# ThGeH6Ru3
Simulated XRD peak list, copper Kα. Input: a cell relaxed with GGA-PBE.
Kinematic intensities with the Lorentz-polarization factor, no thermal factor.

Main lines, in order of rising 2θ (2θ = 10–90°):
| h k l | 2theta | d_spacing | I (rel.) |
| --- | --- | --- | --- |
| 1 1 0 | 24.81 | 3.589 | 46 |
| 0 2 1 | 31.30 | 2.857 | 100 |
| 0 0 3 | 37.12 | 2.422 | 33 |
| 2 0 2 | 38.11 | 2.362 | 89 |
| 2 2 0 | 50.89 | 1.794 | 34 |
| 2 2 3 | 64.65 | 1.442 | 27 |

Crystal structure
```
data_ThGeH6Ru3
_space_group_name_H-M_alt 'R 3 m'
_space_group_IT_number 160
_space_group_name_Hall 'R 3 -2"'
_cell_length_a 7.1772
_cell_length_b 7.1772
_cell_length_c 7.2654
_cell_angle_alpha 90.00
_cell_angle_beta 90.00
_cell_angle_gamma 120.00
loop_
_atom_site_label
_atom_site_fract_x
_atom_site_fract_y
_atom_site_fract_z
Th1 0.0000 0.0000 0.0000
Ge1 0.0000 0.0000 0.4018
H1 0.0103 0.3677 0.4920
Ru1 0.1955 0.3911 0.3237
```

=====

# PrBePPd
Simulated XRD peak list, copper Kα. Input: a cell relaxed with GGA-PBE.
Kinematic intensities with the Lorentz-polarization factor, no thermal factor.

Main lines, in order of rising 2θ (2θ = 10–90°):
| h k l | 2theta | d_spacing | I (rel.) |
| --- | --- | --- | --- |
| 1 0 1 | 23.70 | 3.753 | 67 |
| 0 0 3 | 30.67 | 2.915 | 63 |
| 1 1 1 | 32.13 | 2.785 | 100 |
| 1 1 2 | 36.85 | 2.439 | 97 |
| 2 0 0 | 43.56 | 2.078 | 55 |
| 2 0 3 | 54.21 | 1.692 | 49 |

Crystal structure
```
data_PrBePPd
_space_group_name_H-M_alt 'P 4/n m m'
_space_group_IT_number 129
_cell_length_a 4.156
_cell_length_b 4.156
_cell_length_c 8.744
_cell_angle_alpha 90.00
_cell_angle_beta 90.00
_cell_angle_gamma 90.00
loop_
_space_group_symop_operation_xyz
'x,y,z'
'-x,-y,-z'
'-y+1/2,x,z'
'y+1/2,-x,-z'
'-x+1/2,-y+1/2,z'
'x+1/2,y+1/2,-z'
'y,-x+1/2,z'
'-y,x+1/2,-z'
'x+1/2,-y,-z'
'-x+1/2,y,z'
'-y,-x,-z'
'y,x,z'
'-x,y+1/2,-z'
'x,-y+1/2,z'
'y+1/2,x+1/2,-z'
'-y+1/2,-x+1/2,z'
loop_
_atom_site_label
_atom_site_fract_x
_atom_site_fract_y
_atom_site_fract_z
Pr1 0.250 0.250 0.185
Be1 0.250 0.250 0.615
P1 0.250 0.250 0.854
Pd1 0.250 0.750 0.500
```

=====

# Li3AuF6
Simulated XRD peak list, copper Kα. Input: a cell relaxed with GGA-PBE.
Kinematic intensities with the Lorentz-polarization factor, no thermal factor.

Main lines, in order of rising 2θ (2θ = 10–90°):
| h k l | 2theta | d_spacing | I (rel.) |
| --- | --- | --- | --- |
| 1 1 1 | 18.86 | 4.705 | 100 |
| 2 0 0 | 21.81 | 4.074 | 88 |
| 2 2 0 | 31.04 | 2.881 | 40 |
| 3 1 1 | 36.57 | 2.457 | 67 |
| 3 3 1 | 48.71 | 1.869 | 32 |
| 4 2 0 | 50.06 | 1.822 | 37 |

Crystal structure
```
data_Li3AuF6
_space_group_name_H-M_alt 'F m -3 m'
_space_group_IT_number 225
_space_group_name_Hall '-F 4 2 3'
_cell_length_a 8.149
_cell_length_b 8.149
_cell_length_c 8.149
_cell_angle_alpha 90.00
_cell_angle_beta 90.00
_cell_angle_gamma 90.00
loop_
_atom_site_label
_atom_site_fract_x
_atom_site_fract_y
_atom_site_fract_z
Li1 0.000 0.000 0.000
Li2 0.250 0.250 0.250
Au1 0.000 0.000 0.500
F1 0.000 0.000 0.241
```

=====

# Hf2Zn2Rh3
Simulated XRD peak list, copper Kα. Input: a cell relaxed with GGA-PBE.
Kinematic intensities with the Lorentz-polarization factor, no thermal factor.

Main lines, in order of rising 2θ (2θ = 10–90°):
| h k l | 2theta | d_spacing | I (rel.) |
| --- | --- | --- | --- |
| 2 0 -3 | 36.70 | 2.449 | 52 |
| 0 2 0 | 39.75 | 2.267 | 62 |
| 3 1 -1 | 40.26 | 2.240 | 78 |
| 3 1 -2 | 40.69 | 2.217 | 52 |
| 1 1 2 | 41.54 | 2.174 | 100 |
| 2 2 -3 | 55.21 | 1.664 | 32 |

Crystal structure
```
data_Hf2Zn2Rh3
_space_group_name_H-M_alt 'C 1 2/m 1'
_space_group_IT_number 12
_cell_length_a 7.837
_cell_length_b 4.535
_cell_length_c 7.436
_cell_angle_alpha 90.00
_cell_angle_beta 119.80
_cell_angle_gamma 90.00
loop_
_space_group_symop_operation_xyz
'x,y,z'
'-x,-y,-z'
'-x,y,-z'
'x,-y,z'
'x+1/2,y+1/2,z'
'-x+1/2,-y+1/2,-z'
'-x+1/2,y+1/2,-z'
'x+1/2,-y+1/2,z'
loop_
_atom_site_label
_atom_site_fract_x
_atom_site_fract_y
_atom_site_fract_z
Hf1 0.245 0.000 0.164
Zn1 0.191 0.500 0.401
Rh1 0.000 0.500 0.000
Rh2 0.043 0.000 0.739
```